Record 1
For BaRe2B, the GGA-PBE geometry in Alexandria gives the calculated XRD peak list in this record (copper Kα).
No peak broadening, texture or thermal motion is included.

Cell and atoms:
a b c (Å): 9.0440 9.0440 9.0440
angles (deg): 90.00 90.00 90.00
Space group Fd-3m (No. 227, origin choice 2)
Asymmetric unit:
Ba (0.1250, 0.1250, 0.1250) x8
Re (0.0000, 0.0000, 0.5000) x16
B (0.1250, 0.1250, 0.6250) x8

Principal peaks in the range 10° ≤ 2θ ≤ 90°, sorted by position:
17.0 deg, d 5.222, rel. 21
27.9 deg, d 3.198, rel. 21
32.8 deg, d 2.727, rel. 100
34.3 deg, d 2.611, rel. 54
52.6 deg, d 1.741, rel. 36
57.7 deg, d 1.599, rel. 35
68.9 deg, d 1.363, rel. 22
81.8 deg, d 1.177, rel. 23

=====

Record 2
For BaBS4, the GGA-PBE geometry in Alexandria gives the calculated XRD peak list in this record (copper Kα).
No peak broadening, texture or thermal motion is included.

Cell and atoms:
```
data_BaBS4
_chemical_formula_sum 'Ba4 B4 S16'
_symmetry_space_group_name_H-M 'I 41/a m d'
_symmetry_Int_Tables_number 141
_cell_length_a 5.1414
_cell_length_b 5.1414
_cell_length_c 26.0815
_cell_angle_alpha 90.00
_cell_angle_beta 90.00
_cell_angle_gamma 90.00
loop_
_symmetry_equiv_pos_as_xyz
'x,y,z'
'-x,-y,-z'
'-y+1/4,x+3/4,z+1/4'
'y+1/4,-x+3/4,-z+1/4'
'-x+1/2,-y,z+1/2'
'x+1/2,y,-z+1/2'
'y+1/4,-x+1/4,z+3/4'
'-y+1/4,x+1/4,-z+3/4'
'x,-y,-z'
'-x,y,z'
'-y+1/4,-x+1/4,-z+3/4'
'y+1/4,x+1/4,z+3/4'
'-x+1/2,y,-z+1/2'
'x+1/2,-y,z+1/2'
'y+1/4,x+3/4,-z+1/4'
'-y+1/4,-x+3/4,z+1/4'
'x+1/2,y+1/2,z+1/2'
'-x+1/2,-y+1/2,-z+1/2'
'-y+3/4,x+1/4,z+3/4'
'y+3/4,-x+1/4,-z+3/4'
'-x,-y+1/2,z'
'x,y+1/2,-z'
'y+3/4,-x+3/4,z+1/4'
'-y+3/4,x+3/4,-z+1/4'
'x+1/2,-y+1/2,-z+1/2'
'-x+1/2,y+1/2,z+1/2'
'-y+3/4,-x+3/4,-z+1/4'
'y+3/4,x+3/4,z+1/4'
'-x,y+1/2,-z'
'x,-y+1/2,z'
'y+3/4,x+1/4,-z+3/4'
'-y+3/4,-x+1/4,z+3/4'
loop_
_atom_site_label
_atom_site_type_symbol
_atom_site_fract_x
_atom_site_fract_y
_atom_site_fract_z
_atom_site_occupancy
Ba1 Ba 0.0000 0.2500 0.3750 1
B1 B 0.0000 0.2500 0.8750 1
S1 S 0.0000 0.0119 0.8191 1
```

Principal peaks in the range 10° ≤ 2θ ≤ 90°, sorted by position:
13.6 deg, d 6.520, rel. 100
24.3 deg, d 3.662, rel. 74
25.4 deg, d 3.502, rel. 73
32.1 deg, d 2.789, rel. 33
35.6 deg, d 2.524, rel. 35
37.6 deg, d 2.392, rel. 23
39.3 deg, d 2.290, rel. 25
40.6 deg, d 2.223, rel. 43

=====

Record 3
For BaBSbS4, the GGA-PBE geometry in Alexandria gives the calculated XRD peak list in this record (copper Kα).
No peak broadening, texture or thermal motion is included.

Cell and atoms:
```
data_BaBSbS4
_chemical_formula_sum 'Ba4 B4 Sb4 S16'
_symmetry_space_group_name_H-M 'P n m a'
_symmetry_Int_Tables_number 62
_cell_length_a 10.0648
_cell_length_b 6.2604
_cell_length_c 11.9034
_cell_angle_alpha 90.00
_cell_angle_beta 90.00
_cell_angle_gamma 90.00
loop_
_symmetry_equiv_pos_as_xyz
'x,y,z'
'-x,-y,-z'
'-x+1/2,-y,z+1/2'
'x+1/2,y,-z+1/2'
'x+1/2,-y+1/2,-z+1/2'
'-x+1/2,y+1/2,z+1/2'
'-x,y+1/2,-z'
'x,-y+1/2,z'
loop_
_atom_site_label
_atom_site_type_symbol
_atom_site_fract_x
_atom_site_fract_y
_atom_site_fract_z
_atom_site_occupancy
Ba1 Ba 0.0134 0.2500 0.1690 1
B1 B 0.1951 0.7500 0.4525 1
Sb1 Sb 0.1959 0.2500 0.5422 1
S1 S 0.0713 0.7500 0.0901 1
S2 S 0.1771 0.7500 0.6025 1
S3 S 0.2082 0.5024 0.3732 1
```

Principal peaks in the range 10° ≤ 2θ ≤ 90°, sorted by position:
18.3 deg, d 4.854, rel. 66
22.4 deg, d 3.965, rel. 49
23.1 deg, d 3.843, rel. 63
23.9 deg, d 3.725, rel. 69
24.1 deg, d 3.691, rel. 54
27.6 deg, d 3.229, rel. 100
28.5 deg, d 3.130, rel. 56
33.6 deg, d 2.671, rel. 61

=====

Record 4
For Ba2TmB2S6, the GGA-PBE geometry in Alexandria gives the calculated XRD peak list in this record (copper Kα).
No peak broadening, texture or thermal motion is included.

Cell and atoms:
```
data_Ba2TmB2S6
_chemical_formula_sum 'Ba4 Tm2 B4 S12'
_symmetry_space_group_name_H-M 'C 1 2/m 1'
_symmetry_Int_Tables_number 12
_cell_length_a 11.5307
_cell_length_b 6.6080
_cell_length_c 7.8702
_cell_angle_alpha 90.00
_cell_angle_beta 120.29
_cell_angle_gamma 90.00
loop_
_symmetry_equiv_pos_as_xyz
'x,y,z'
'-x,-y,-z'
'-x,y,-z'
'x,-y,z'
'x+1/2,y+1/2,z'
'-x+1/2,-y+1/2,-z'
'-x+1/2,y+1/2,-z'
'x+1/2,-y+1/2,z'
loop_
_atom_site_label
_atom_site_type_symbol
_atom_site_fract_x
_atom_site_fract_y
_atom_site_fract_z
_atom_site_occupancy
Ba1 Ba 0.2137 0.0000 0.2123 1
Tm1 Tm 0.0000 0.0000 0.5000 1
B1 B 0.0567 0.5000 0.2638 1
S1 S 0.0379 0.2618 0.7893 1
S2 S 0.2354 0.5000 0.3429 1
```

Principal peaks in the range 10° ≤ 2θ ≤ 90°, sorted by position:
16.1 deg, d 5.506, rel. 76
23.5 deg, d 3.792, rel. 100
26.7 deg, d 3.337, rel. 68
26.8 deg, d 3.322, rel. 86
27.0 deg, d 3.303, rel. 62
31.4 deg, d 2.847, rel. 44
35.8 deg, d 2.508, rel. 93
38.5 deg, d 2.336, rel. 81

=====

Record 5
For BaUBS6, the GGA-PBE geometry in Alexandria gives the calculated XRD peak list in this record (copper Kα).
No peak broadening, texture or thermal motion is included.

Cell and atoms:
```
data_BaUBS6
_chemical_formula_sum 'Ba1 U1 B1 S6'
_symmetry_space_group_name_H-M 'P 1'
_symmetry_Int_Tables_number 1
_cell_length_a 5.4920
_cell_length_b 6.2955
_cell_length_c 6.9131
_cell_angle_alpha 95.86
_cell_angle_beta 91.01
_cell_angle_gamma 108.84
loop_
_symmetry_equiv_pos_as_xyz
'x,y,z'
loop_
_atom_site_label
_atom_site_type_symbol
_atom_site_fract_x
_atom_site_fract_y
_atom_site_fract_z
_atom_site_occupancy
Ba1 Ba 0.0000 0.0000 0.0000 1
U1 U 0.5773 0.4642 0.5214 1
B1 B 0.3655 0.9490 0.4917 1
S1 S 0.1016 0.6985 0.3370 1
S2 S 0.1702 0.1358 0.5884 1
S3 S 0.3216 0.5181 0.1969 1
S4 S 0.5088 0.8338 0.6951 1
S5 S 0.6005 0.1061 0.3061 1
S6 S 0.8127 0.4651 0.8245 1
```

Principal peaks in the range 10° ≤ 2θ ≤ 90°, sorted by position:
12.9 deg, d 6.867, rel. 27
18.7 deg, d 4.752, rel. 83
20.9 deg, d 4.251, rel. 100
22.0 deg, d 4.038, rel. 30
26.3 deg, d 3.392, rel. 27
31.5 deg, d 2.839, rel. 40
33.3 deg, d 2.690, rel. 29
35.3 deg, d 2.542, rel. 28

=====

Record 6
For BaZn2BS4, the GGA-PBE geometry in Alexandria gives the calculated XRD peak list in this record (copper Kα).
No peak broadening, texture or thermal motion is included.

Cell and atoms:
```
data_BaZn2BS4
_chemical_formula_sum 'Ba4 Zn8 B4 S16'
_symmetry_space_group_name_H-M 'F m m 2'
_symmetry_Int_Tables_number 42
_symmetry_space_group_name_Hall 'F 2 -2'
_cell_length_a 9.0343
_cell_length_b 9.1801
_cell_length_c 7.9956
_cell_angle_alpha 90.00
_cell_angle_beta 90.00
_cell_angle_gamma 90.00
loop_
_atom_site_label
_atom_site_type_symbol
_atom_site_fract_x
_atom_site_fract_y
_atom_site_fract_z
_atom_site_occupancy
Ba1 Ba 0.0000 0.0000 0.0000 1
Zn1 Zn 0.2500 0.2500 0.2596 1
B1 B 0.0000 0.0000 0.4997 1
S1 S 0.0000 0.1748 0.6382 1
S2 S 0.1769 0.0000 0.3590 1
```

Principal peaks in the range 10° ≤ 2θ ≤ 90°, sorted by position:
17.7 deg, d 5.015, rel. 48
27.7 deg, d 3.220, rel. 53
29.6 deg, d 3.015, rel. 91
29.8 deg, d 2.994, rel. 100
32.9 deg, d 2.725, rel. 45
33.3 deg, d 2.694, rel. 42
50.1 deg, d 1.821, rel. 42
54.0 deg, d 1.698, rel. 47

=====

Record 7
For BaScB12, the GGA-PBE geometry in Alexandria gives the calculated XRD peak list in this record (copper Kα).
No peak broadening, texture or thermal motion is included.

Cell and atoms:
```
data_BaScB12
_chemical_formula_sum 'Ba4 Sc4 B48'
_symmetry_space_group_name_H-M 'F m -3 m'
_symmetry_Int_Tables_number 225
_symmetry_space_group_name_Hall '-F 4 2 3'
_cell_length_a 8.3513
_cell_length_b 8.3513
_cell_length_c 8.3513
_cell_angle_alpha 90.00
_cell_angle_beta 90.00
_cell_angle_gamma 90.00
loop_
_atom_site_label
_atom_site_type_symbol
_atom_site_fract_x
_atom_site_fract_y
_atom_site_fract_z
_atom_site_occupancy
Ba1 Ba 0.0000 0.0000 0.0000 1
Sc1 Sc 0.0000 0.0000 0.5000 1
B1 B 0.1007 0.2500 0.2500 1
```

Principal peaks in the range 10° ≤ 2θ ≤ 90°, sorted by position:
18.4 deg, d 4.822, rel. 44
21.3 deg, d 4.176, rel. 41
30.3 deg, d 2.953, rel. 100
35.7 deg, d 2.518, rel. 27
37.3 deg, d 2.411, rel. 43
43.3 deg, d 2.088, rel. 22
48.8 deg, d 1.867, rel. 45
67.3 deg, d 1.392, rel. 29

=====

Record 8
For Ba3SmB24, the GGA-PBE geometry in Alexandria gives the calculated XRD peak list in this record (copper Kα).
No peak broadening, texture or thermal motion is included.

Cell and atoms:
```
data_Ba3SmB24
_chemical_formula_sum 'Ba3 Sm1 B24'
_symmetry_space_group_name_H-M 'P 4/m m m'
_symmetry_Int_Tables_number 123
_symmetry_space_group_name_Hall '-P 4 2'
_cell_length_a 4.2351
_cell_length_b 4.2351
_cell_length_c 16.9577
_cell_angle_alpha 90.00
_cell_angle_beta 90.00
_cell_angle_gamma 90.00
loop_
_atom_site_label
_atom_site_type_symbol
_atom_site_fract_x
_atom_site_fract_y
_atom_site_fract_z
_atom_site_occupancy
Ba1 Ba 0.0000 0.0000 0.0000 1
Ba2 Ba 0.0000 0.0000 0.2507 1
Sm1 Sm 0.0000 0.0000 0.5000 1
B1 B 0.2025 0.5000 0.3790 1
B2 B 0.2043 0.5000 0.1263 1
B3 B 0.5000 0.5000 0.0519 1
B4 B 0.5000 0.5000 0.2006 1
B5 B 0.5000 0.5000 0.3040 1
B6 B 0.5000 0.5000 0.4514 1
```

Principal peaks in the range 10° ≤ 2θ ≤ 90°, sorted by position:
21.0 deg, d 4.237, rel. 61
29.8 deg, d 2.996, rel. 100
36.7 deg, d 2.446, rel. 41
42.7 deg, d 2.118, rel. 21
48.0 deg, d 1.895, rel. 49
52.9 deg, d 1.730, rel. 26
66.2 deg, d 1.412, rel. 28
70.3 deg, d 1.340, rel. 20